For Fe2Co3O10, a GGA+U-relaxed structure gives the theoretical powder diffractogram in this record (Cu Kα (weighted mean of Kα1 and Kα2)).

Principal peaks in the range 2θ = 10–80°, in order of rising 2θ:
2theta  I/Imax
18.00  100
36.52  13
36.73  19
38.20  7
43.72  13
43.99  26
47.81  7
57.34  10
62.59  6
64.91  7

Cell and atoms:
Unit cell a=5.209 b=2.863 c=23.692 alpha=90.00 beta=95.71 gamma=90.00
Space group Pm (No. 6)
One atom of each set of equivalent atoms:
1 Fe 0.000 0.000 0.000 x1
2 Fe 0.190 0.000 0.593 x1
3 Fe 0.588 0.000 0.795 x1
4 Fe 0.797 0.500 0.899 x1
5 Co 0.199 0.500 0.100 x1
6 Co 0.389 0.500 0.693 x1
7 Co 0.396 0.000 0.199 x1
8 Co 0.595 0.500 0.297 x1
9 Co 0.792 0.000 0.395 x1
10 Co 0.990 0.500 0.494 x1
11 O 0.088 0.000 0.448 x1
12 O 0.092 0.500 0.640 x1
13 O 0.099 0.500 0.953 x1
14 O 0.101 0.000 0.145 x1
15 O 0.283 0.000 0.738 x1
16 O 0.288 0.500 0.547 x1
17 O 0.297 0.500 0.244 x1
18 O 0.301 0.000 0.055 x1
19 O 0.491 0.000 0.648 x1
20 O 0.493 0.500 0.153 x1
21 O 0.494 0.500 0.845 x1
22 O 0.497 0.000 0.342 x1
23 O 0.684 0.500 0.745 x1
24 O 0.693 0.000 0.251 x1
25 O 0.694 0.000 0.946 x1
26 O 0.695 0.500 0.441 x1
27 O 0.888 0.000 0.539 x1
28 O 0.890 0.500 0.350 x1
29 O 0.901 0.500 0.047 x1
30 O 0.902 0.000 0.852 x1